This entry pairs a crystal structure of SrV3O8 with its theoretical XRD peak list. Radiation: Cu Kα, 1.54184 Å. Structure: the GGA+U geometry in Alexandria.

Top 8 peaks for 10° ≤ 2θ ≤ 90°, by angle:
2theta, I_rel, h k l
26.25, 100, 1 0 4
35.52, 40, 1 1 0
37.74, 15, 2 -1 3
39.31, 21, 0 1 8
44.70, 20, 0 2 4
58.35, 18, 2 1 4
63.62, 18, 2 -1 12
63.78, 15, 3 0 0

Atomic structure:
Unit cell a=5.0550 b=5.0550 c=21.5193 alpha=90.00 beta=90.00 gamma=120.00
Space group R-3 (No. 148, hexagonal axes)
One atom of each set of equivalent atoms:
1 Sr 0.0000 0.0000 0.0000 (multiplicity 3)
2 V 0.0000 0.0000 0.2407 (multiplicity 6)
3 V 0.0000 0.0000 0.5000 (multiplicity 3)
4 O 0.0000 0.0000 0.3192 (multiplicity 6)
5 O 0.0097 0.3173 0.4466 (multiplicity 18)